The following is a calculated XRD peak list of LiV3OF11. It was derived from a structure optimized by DFT (PBE+U), using CuKα.
No peak broadening, texture or thermal motion is included.

Largest 10 diffraction maxima, low angle first, 2θ from 10° to 90°:
| 2theta | I_rel | (hkl) |
| --- | --- | --- |
| 17.45 | 100 | 0 0 3 |
| 25.10 | 84 | 1 1 1 |
| 25.27 | 82 | 1 1 -2 |
| 33.28 | 15 | 2 0 -1 |
| 35.31 | 19 | 0 0 6 |
| 38.94 | 13 | 1 2 1 |
| 48.26 | 31 | 2 2 -1 |
| 50.80 | 17 | 1 1 7 |
| 54.90 | 13 | 3 1 -3 |
| 55.65 | 15 | 1 3 -2 |

Structural model:
Cell lengths 5.385, 5.284, 15.448 Å; angles 90.00, 99.20, 90.00 degrees
Positions (direct):
1 Li 0.218 0.000 0.493
2 Li 0.782 0.500 0.507
3 V 0.064 0.296 0.674
4 V 0.250 0.746 0.000
5 V 0.414 0.263 0.327
6 V 0.586 0.763 0.673
7 V 0.750 0.246 0.000
8 V 0.936 0.796 0.326
9 O 0.141 0.054 0.351
10 O 0.859 0.554 0.649
11 F 0.003 0.210 0.548
12 F 0.048 0.437 0.979
13 F 0.174 0.310 0.789
14 F 0.179 0.819 0.887
15 F 0.210 0.563 0.307
16 F 0.285 0.972 0.675
17 F 0.315 0.675 0.113
18 F 0.367 0.470 0.648
19 F 0.375 0.198 0.214
20 F 0.452 0.056 0.020
21 F 0.477 0.327 0.448
22 F 0.523 0.827 0.552
23 F 0.548 0.556 0.980
24 F 0.625 0.698 0.786
25 F 0.633 0.970 0.352
26 F 0.685 0.175 0.887
27 F 0.715 0.472 0.325
28 F 0.790 0.063 0.693
29 F 0.821 0.319 0.113
30 F 0.826 0.810 0.211
31 F 0.952 0.937 0.021
32 F 0.997 0.710 0.452